# 1
Starting from a DFT-relaxed cell (PBE, the Materials Project), the X-ray diffraction stick pattern of La2MgCu2 was computed for Cu Kα (weighted mean of Kα1 and Kα2).
Neutral-atom scattering factors, no anomalous dispersion.

Most intense lines, 10° ≤ 2θ ≤ 80°, by intensity:
Position (°2θ), Rel. int.
34.1, 100
32.1, 25
35.8, 24
15.8, 22
53.0, 15
25.1, 14

Crystal structure
```
10
Lattice="7.9371 0.0000 0.0000 0.0000 7.9371 0.0000 0.0000 0.0000 3.9119" Properties=species:S:1:pos:R:3 pbc="T T T"
La 1.3749 2.5936 0.0000
La 2.5936 6.5622 0.0000
La 5.3435 1.3749 0.0000
La 6.5622 5.3435 0.0000
Mg 0.0000 0.0000 1.9559
Mg 3.9686 3.9686 1.9559
Cu 0.9491 4.9177 1.9559
Cu 3.0194 0.9491 1.9559
Cu 4.9177 6.9880 1.9559
Cu 6.9880 3.0194 1.9559
```



# 2
Starting from a DFT-relaxed cell (PBE, the Materials Project), the X-ray diffraction stick pattern of PdRu was computed for Cu Kα (weighted mean of Kα1 and Kα2).
Neutral-atom scattering factors, no anomalous dispersion.

Most intense lines, 10° ≤ 2θ ≤ 80°, by intensity:
Position (°2θ), Rel. int.
43.0, 100
40.4, 27
37.8, 24
75.3, 18
68.2, 16
56.5, 15

Crystal structure
```
2
Lattice="2.7512 0.0000 0.0000 -1.3756 2.3826 0.0000 0.0000 0.0000 4.4625" Properties=species:S:1:pos:R:3 pbc="T T T"
Pd 0.0000 0.0000 0.0000
Ru 1.3756 0.7942 2.2312
```



# 3
Starting from a DFT-relaxed cell (PBE, the Materials Project), the X-ray diffraction stick pattern of Y2Au5F21 was computed for Cu Kα (weighted mean of Kα1 and Kα2).
Neutral-atom scattering factors, no anomalous dispersion.

Most intense lines, 10° ≤ 2θ ≤ 80°, by intensity:
Position (°2θ), Rel. int.
23.9, 100
22.2, 79
26.5, 65
26.4, 34
25.0, 28
24.6, 26

Crystal structure
```
56
Lattice="9.2032 0.0000 0.0000 0.0000 8.1271 0.0000 -9.0073 0.0000 12.1475" Properties=species:S:1:pos:R:3 pbc="T T T"
Y 1.6818 1.3649 0.0248
Y -2.8218 6.7621 6.0985
Y 3.0177 1.3649 6.0490
Y -1.4860 6.7621 12.1227
Au -2.4699 2.6966 4.9181
Au -6.9735 5.4305 10.9918
Au -4.3342 0.4889 9.6406
Au 0.1695 7.6382 3.5669
Au -2.1539 3.9172 9.1106
Au 2.3498 4.2099 3.0369
Au 0.0264 0.4889 8.5806
Au 4.5300 7.6382 2.5068
Au 7.1694 2.6966 1.1556
Au 2.6657 5.4305 7.2293
F 0.0000 0.0000 0.0000
F -4.5037 0.0000 6.0737
F -0.1770 2.6419 0.4267
F -4.6807 5.4851 6.5005
F -5.3644 1.4149 8.2473
F -0.8607 6.7122 2.1736
F -7.0957 3.4678 11.0539
F -2.5920 4.6593 4.9802
F -2.2664 0.7307 4.8280
F -6.7701 7.3964 10.9017
F -0.7155 2.8137 4.1056
F -5.2192 5.3134 10.1793
F -5.3031 1.6235 10.9286
F -0.7994 6.5036 4.8548
F 1.1165 0.6758 2.3004
F -3.3871 7.4513 8.3741
F 2.4678 2.8504 1.5895
F -2.0358 5.2767 7.6632
F -2.0679 2.5232 7.7621
F 2.4358 5.6039 1.6884
F 3.4970 0.2958 1.0264
F -1.0067 7.8313 7.1002
F 1.2026 0.2958 5.0473
F -3.3011 7.8313 11.1210
F -2.2399 2.5232 10.4591
F 2.2638 5.6039 4.3854
F 2.2317 2.8504 4.4842
F -2.2720 5.2767 10.5580
F 3.5830 0.6758 3.7734
F -0.9206 7.4513 9.8471
F 0.9953 1.6235 7.2926
F 5.4989 6.5036 1.2189
F 5.4150 2.8137 1.9681
F 0.9114 5.3134 8.0419
F 6.9660 0.7307 1.2457
F 2.4623 7.3964 7.3194
F 2.7879 3.4678 7.1673
F 7.2916 4.6593 1.0936
F 1.0566 1.4149 9.9739
F 5.5603 6.7122 3.9001
F 4.8766 2.6419 5.6470
F 0.3729 5.4851 11.7207
```



# 4
Starting from a DFT-relaxed cell (PBE, the Materials Project), the X-ray diffraction stick pattern of CsMg14Si was computed for Cu Kα (weighted mean of Kα1 and Kα2).
Neutral-atom scattering factors, no anomalous dispersion.

Most intense lines, 10° ≤ 2θ ≤ 80°, by intensity:
Position (°2θ), Rel. int.
36.3, 100
32.4, 34
32.2, 28
17.9, 26
16.0, 23
22.7, 19

Crystal structure
```
16
Lattice="6.3827 0.0000 0.0000 -3.1914 5.5276 0.0000 0.0000 0.0000 11.1348" Properties=species:S:1:pos:R:3 pbc="T T T"
Cs 0.0000 0.0000 0.0000
Mg -1.5722 2.7774 0.0000
Mg 0.0000 1.8250 3.0734
Mg 0.0000 1.8250 8.0614
Mg -1.6108 4.6151 3.0734
Mg -1.6108 4.6151 8.0614
Mg 1.5722 2.7774 0.0000
Mg 0.0000 5.5005 0.0000
Mg 3.1914 0.0466 5.5674
Mg 1.6361 2.7405 5.5674
Mg 3.1914 1.8425 2.6738
Mg 3.1914 1.8425 8.4609
Mg 1.6108 4.6151 3.0734
Mg 1.6108 4.6151 8.0614
Mg 4.7467 2.7405 5.5674
Si 0.0000 0.0000 5.5674
```